For TaVO5, a structure optimized by DFT (PBE+U) gives the theoretical powder XRD pattern in this record (Cu Kα (λ = 1.5418 Å)).
No peak broadening, texture or thermal motion is included.

Peak list (10 most intense, 2θ from 10° to 80°, in order of rising 2θ)
- (1 0 1), 2θ 14.5, intensity 35
- (2 0 0), 2θ 14.7, intensity 66
- (2 0 1), 2θ 19.4, intensity 72
- (0 1 1), 2θ 20.2, intensity 100
- (1 1 1), 2θ 21.5, intensity 67
- (2 1 1), 2θ 25.1, intensity 69
- (1 1 2), 2θ 30.8, intensity 66
- (0 2 0), 2θ 31.9, intensity 29
- (4 1 0), 2θ 33.8, intensity 54
- (1 2 3), 2θ 51.2, intensity 29

Crystal structure
```
data_TaVO5
_symmetry_space_group_name_H-M 'P n m a'
_symmetry_Int_Tables_number 62
_symmetry_space_group_name_Hall '-P 2ac 2n'
_cell_length_a 12.0560
_cell_length_b 5.6143
_cell_length_c 7.0611
_cell_angle_alpha 90.00
_cell_angle_beta 90.00
_cell_angle_gamma 90.00
loop_
_atom_site_label
_atom_site_type_symbol
_atom_site_fract_x
_atom_site_fract_y
_atom_site_fract_z
Ta1 Ta 0.0586 0.2500 0.1569
V1 V 0.1544 0.7500 0.4699
O1 O 0.0000 0.0000 0.0000
O2 O 0.0761 0.7500 0.6778
O3 O 0.1236 0.0009 0.3401
O4 O 0.2037 0.2500 0.0278
```

---

For Ta2VZn2O8, a structure optimized by DFT (PBE+U) gives the theoretical powder XRD pattern in this record (Cu Kα (λ = 1.5418 Å)).
No peak broadening, texture or thermal motion is included.

Peak list (10 most intense, 2θ from 10° to 80°, in order of rising 2θ)
- (1 1 0), 2θ 15.6, intensity 22
- (4 0 0), 2θ 18.2, intensity 28
- (1 1 -1), 2θ 22.9, intensity 43
- (3 1 1), 2θ 26.3, intensity 28
- (5 1 0), 2θ 27.3, intensity 42
- (5 1 -1), 2θ 32.2, intensity 100
- (0 0 2), 2θ 33.7, intensity 36
- (0 2 1), 2θ 34.5, intensity 55
- (5 1 -2), 2θ 43.9, intensity 24
- (8 2 1), 2θ 51.4, intensity 29

Crystal structure
```
data_Ta2VZn2O8
_symmetry_space_group_name_H-M 'C 1 2/c 1'
_symmetry_Int_Tables_number 15
_symmetry_space_group_name_Hall '-C 2yc'
_cell_length_a 19.5049
_cell_length_b 5.9577
_cell_length_c 5.3241
_cell_angle_alpha 90.00
_cell_angle_beta 90.11
_cell_angle_gamma 90.00
loop_
_atom_site_label
_atom_site_type_symbol
_atom_site_fract_x
_atom_site_fract_y
_atom_site_fract_z
Ta1 Ta 0.1158 0.1556 0.2684
V1 V 0.0000 0.3539 0.7500
Zn1 Zn 0.2180 0.3474 0.7717
O1 O 0.0595 0.3745 0.4046
O2 O 0.0707 0.1131 0.9343
O3 O 0.1774 0.1044 0.5704
O4 O 0.1940 0.3502 0.1417
```

---

For TaVZn2O6, a structure optimized by DFT (PBE+U) gives the theoretical powder XRD pattern in this record (Cu Kα (λ = 1.5418 Å)).
No peak broadening, texture or thermal motion is included.

Peak list (10 most intense, 2θ from 10° to 80°, in order of rising 2θ)
- (0 0 1), 2θ 16.6, intensity 25
- (1 0 0), 2θ 16.8, intensity 25
- (1 2 -1), 2θ 33.2, intensity 68
- (0 0 2), 2θ 33.5, intensity 100
- (2 0 0), 2θ 34.0, intensity 31
- (0 4 0), 2θ 47.1, intensity 18
- (0 4 2), 2θ 59.1, intensity 16
- (2 4 0), 2θ 59.4, intensity 15
- (3 2 -1), 2θ 60.1, intensity 31
- (3 2 1), 2θ 60.6, intensity 16

Crystal structure
```
data_TaVZn2O6
_symmetry_space_group_name_H-M 'P 1 21/m 1'
_symmetry_Int_Tables_number 11
_symmetry_space_group_name_Hall '-P 2yb'
_cell_length_a 5.2804
_cell_length_b 7.7130
_cell_length_c 5.3487
_cell_angle_alpha 90.00
_cell_angle_beta 90.89
_cell_angle_gamma 90.00
loop_
_atom_site_label
_atom_site_type_symbol
_atom_site_fract_x
_atom_site_fract_y
_atom_site_fract_z
Ta1 Ta 0.0000 0.0000 0.0000
V1 V 0.5000 0.0000 0.5000
Zn1 Zn 0.0172 0.2500 0.4896
Zn2 Zn 0.4983 0.7500 0.0406
O1 O 0.1208 0.2500 0.0615
O2 O 0.1670 0.5627 0.3200
O3 O 0.3188 0.5644 0.8278
O4 O 0.3859 0.2500 0.5795
```

---

For Ta2W2O11, a structure optimized by DFT (PBE+U) gives the theoretical powder XRD pattern in this record (Cu Kα (λ = 1.5418 Å)).
No peak broadening, texture or thermal motion is included.

Peak list (10 most intense, 2θ from 10° to 80°, in order of rising 2θ)
- (0 0 2), 2θ 13.9, intensity 58
- (1 1 -1), 2θ 14.5, intensity 100
- (2 0 0), 2θ 15.3, intensity 40
- (0 0 4), 2θ 27.9, intensity 37
- (4 0 -2), 2θ 28.1, intensity 24
- (2 2 0), 2θ 28.8, intensity 18
- (2 2 -2), 2θ 29.2, intensity 43
- (3 1 1), 2θ 29.4, intensity 15
- (4 0 0), 2θ 30.8, intensity 21
- (2 2 2), 2θ 34.8, intensity 18

Crystal structure
```
data_Ta2W2O11
_symmetry_space_group_name_H-M 'C 1 2 1'
_symmetry_Int_Tables_number 5
_symmetry_space_group_name_Hall 'C 2y'
_cell_length_a 12.7313
_cell_length_b 7.3258
_cell_length_c 13.9931
_cell_angle_alpha 90.00
_cell_angle_beta 114.20
_cell_angle_gamma 90.00
loop_
_atom_site_label
_atom_site_type_symbol
_atom_site_fract_x
_atom_site_fract_y
_atom_site_fract_z
Ta1 Ta 0.2336 0.0000 0.2713
Ta2 Ta 0.2434 0.3294 0.9607
W1 W 0.0000 0.0920 0.0000
W2 W 0.0000 0.5547 0.5000
W3 W 0.2409 0.2816 0.4894
O1 O 0.0921 0.3573 0.4730
O2 O 0.0943 0.2642 0.9707
O3 O 0.0961 0.7268 0.4749
O4 O 0.0964 0.8973 0.9811
O5 O 0.1049 0.0809 0.1501
O6 O 0.1052 0.5546 0.6465
O7 O 0.2008 0.8308 0.3519
O8 O 0.2052 0.2132 0.3515
O9 O 0.2154 0.5778 0.9969
O10 O 0.2166 0.3460 0.8192
O11 O 0.2223 0.0331 0.5252
```

---

For TaWO7, a structure optimized by DFT (PBE+U) gives the theoretical powder XRD pattern in this record (Cu Kα (λ = 1.5418 Å)).
No peak broadening, texture or thermal motion is included.

Peak list (10 most intense, 2θ from 10° to 80°, in order of rising 2θ)
- (0 1 1), 2θ 14.1, intensity 95
- (1 0 1), 2θ 14.9, intensity 100
- (1 2 1), 2θ 26.8, intensity 35
- (2 1 1), 2θ 28.1, intensity 42
- (0 2 2), 2θ 28.4, intensity 70
- (2 0 2), 2θ 30.0, intensity 47
- (2 2 0), 2θ 33.0, intensity 26
- (2 2 4), 2θ 49.2, intensity 30
- (2 4 2), 2θ 55.2, intensity 18
- (4 2 2), 2θ 58.1, intensity 21

Crystal structure
```
data_TaWO7
_symmetry_space_group_name_H-M 'I m m a'
_symmetry_Int_Tables_number 74
_symmetry_space_group_name_Hall '-I 2b 2'
_cell_length_a 7.3611
_cell_length_b 8.0332
_cell_length_c 10.1199
_cell_angle_alpha 90.00
_cell_angle_beta 90.00
_cell_angle_gamma 90.00
loop_
_atom_site_label
_atom_site_type_symbol
_atom_site_fract_x
_atom_site_fract_y
_atom_site_fract_z
Ta1 Ta 0.0000 0.0000 0.0000
W1 W 0.2500 0.2500 0.2500
O1 O 0.0000 0.2500 0.3099
O2 O 0.0000 0.2500 0.7815
O3 O 0.0000 0.2500 0.9149
O4 O 0.1836 0.0816 0.1213
```